Calculated powder XRD pattern of Li2FeF5 for Cu Kα (weighted mean of Kα1 and Kα2), from the GGA+U geometry in the Materials Project.
No peak broadening, texture or thermal motion is included.

a = 5.2720 Å, b = 5.7117 Å, c = 7.0145 Å
α = 106.66°, β = 93.29°, γ = 114.37°
Element x y z (fractional)
Li 0.0000 0.0000 0.0000
Li 0.0098 0.0061 0.4997
Li 0.3164 0.6730 0.7705
Li 0.7014 0.3377 0.2280
Fe 0.3880 0.7566 0.2748
Fe 0.6306 0.2538 0.7238
F 0.0777 0.3981 0.1824
F 0.1576 0.9343 0.2345
F 0.3080 0.8521 0.5669
F 0.3545 0.3574 0.6321
F 0.4791 0.2183 0.9609
F 0.5429 0.7930 0.0379
F 0.6640 0.6538 0.3670
F 0.7107 0.1592 0.4314
F 0.8595 0.0749 0.7642
F 0.9412 0.6125 0.8164

Main lines, in order of rising 2θ (2θ from 10° to 90°):
Position (°2θ), I/Imax, h k l
18.5, 100, 0 1 -1
18.9, 51, 1 0 0
19.4, 43, 1 -1 0
20.9, 41, 1 0 -1
22.3, 35, 1 -1 1
26.1, 35, 0 1 1
27.1, 46, 0 0 2
38.5, 32, 1 1 1
40.2, 56, 2 -2 1
41.8, 54, 1 0 -3

=====

Calculated powder XRD pattern of Li2FeF5 for Cu Kα (weighted mean of Kα1 and Kα2), from the GGA+U geometry in the Materials Project.
No peak broadening, texture or thermal motion is included.

a = 5.2720 Å, b = 5.7117 Å, c = 7.0145 Å
α = 106.66°, β = 93.29°, γ = 114.37°
Element x y z (fractional)
Li 0.0000 0.0000 0.0000
Li 0.0109 0.0075 0.4997
Li 0.3203 0.6773 0.7714
Li 0.7014 0.3377 0.2280
Fe 0.3880 0.7566 0.2748
Fe 0.6338 0.2584 0.7246
F 0.0777 0.3981 0.1824
F 0.1623 0.9402 0.2352
F 0.3110 0.8559 0.5680
F 0.3545 0.3574 0.6321
F 0.4791 0.2183 0.9609
F 0.5426 0.7968 0.0385
F 0.6672 0.6576 0.3673
F 0.7107 0.1592 0.4314
F 0.8595 0.0749 0.7642
F 0.9441 0.6169 0.8170

Main lines, in order of rising 2θ (2θ from 10° to 90°):
Position (°2θ), I/Imax, h k l
18.5, 100, 0 1 -1
18.9, 51, 1 0 0
19.4, 44, 1 -1 0
20.9, 42, 1 0 -1
22.3, 36, 1 -1 1
26.1, 35, 0 1 1
27.1, 48, 0 0 2
38.5, 32, 1 1 1
40.2, 57, 2 -2 1
41.8, 55, 1 0 -3